Structure and theoretical powder X-ray diffraction pattern of Li7Ca3P4 (DFT lattice parameters and positions (GGA-PBE); CuKα).
Peak positions follow from Bragg's law for the DFT cell and can differ from measured ones.

Main lines, low angle first (10° ≤ 2θ ≤ 80°):
- 11.3°, d = 7.803 Å, I = 55, (0 0 1)
- 22.8°, d = 3.902 Å, I = 57, (0 0 2)
- 30.7°, d = 2.916 Å, I = 62, (3 1 0)
- 34.2°, d = 2.622 Å, I = 34, (2 0 2)
- 34.4°, d = 2.608 Å, I = 50, (3 1 -3)
- 35.4°, d = 2.538 Å, I = 65, (6 0 -3)
- 36.0°, d = 2.497 Å, I = 100, (5 1 -2)
- 37.5°, d = 2.400 Å, I = 34, (3 1 1)
- 42.6°, d = 2.120 Å, I = 59, (3 1 -4)
- 43.0°, d = 2.102 Å, I = 71, (0 2 0)

Structure:
```
data_Li7Ca3P4
_chemical_formula_sum 'Li14 Ca6 P8'
_symmetry_space_group_name_H-M 'C 1 2/m 1'
_symmetry_Int_Tables_number 12
_symmetry_space_group_name_Hall '-C 2y'
_cell_length_a 15.5253
_cell_length_b 4.2047
_cell_length_c 9.9803
_cell_angle_alpha 90.00
_cell_angle_beta 128.57
_cell_angle_gamma 90.00
loop_
_atom_site_label
_atom_site_type_symbol
_atom_site_fract_x
_atom_site_fract_y
_atom_site_fract_z
_atom_site_occupancy
Li1 Li 0.0000 0.0000 0.0000 1
Li2 Li 0.0145 0.5000 0.7808 1
Li3 Li 0.1741 0.0000 0.9152 1
Li4 Li 0.1767 0.5000 0.5118 1
Ca1 Ca 0.0000 0.0000 0.5000 1
Ca2 Ca 0.2008 0.5000 0.2389 1
P1 P 0.1050 0.0000 0.3260 1
P2 P 0.1679 0.5000 0.7605 1
```

=====

Structure and theoretical powder X-ray diffraction pattern of LaSm12Th5 (DFT lattice parameters and positions (GGA-PBE); CuKα).
Peak positions follow from Bragg's law for the DFT cell and can differ from measured ones.

Main lines, low angle first (10° ≤ 2θ ≤ 80°):
- 30.2°, d = 2.955 Å, I = 100, (6 0 0)
- 34.8°, d = 2.575 Å, I = 17, (2 0 2)
- 35.2°, d = 2.551 Å, I = 34, (5 3 -1)
- 50.4°, d = 1.812 Å, I = 24, (7 3 1)
- 50.6°, d = 1.804 Å, I = 12, (0 6 0)
- 59.6°, d = 1.551 Å, I = 11, (8 0 2)
- 60.1°, d = 1.540 Å, I = 14, (6 6 0)
- 60.1°, d = 1.539 Å, I = 14, (9 3 -3)
- 62.9°, d = 1.477 Å, I = 9, (8 0 -4)
- 74.4°, d = 1.275 Å, I = 4, (10 6 -2)

Structure:
```
data_LaSm12Th5
_chemical_formula_sum 'La2 Sm24 Th10'
_symmetry_space_group_name_H-M 'C 1 2/m 1'
_symmetry_Int_Tables_number 12
_symmetry_space_group_name_Hall '-C 2y'
_cell_length_a 18.7743
_cell_length_b 10.8176
_cell_length_c 6.2817
_cell_angle_alpha 90.00
_cell_angle_beta 109.00
_cell_angle_gamma 90.00
loop_
_atom_site_label
_atom_site_type_symbol
_atom_site_fract_x
_atom_site_fract_y
_atom_site_fract_z
_atom_site_occupancy
La1 La 0.0000 0.0000 0.0000 1
Sm1 Sm 0.0000 0.1657 0.5000 1
Sm2 Sm 0.0000 0.3404 0.0000 1
Sm3 Sm 0.1665 0.3364 0.8330 1
Sm4 Sm 0.1689 0.1646 0.3364 1
Th1 Th 0.0000 0.5000 0.5000 1
Th2 Th 0.1661 0.5000 0.3318 1
Th3 Th 0.1692 0.0000 0.8284 1
```

=====

Structure and theoretical powder X-ray diffraction pattern of LaPm5Au6 (DFT lattice parameters and positions (GGA-PBE); CuKα).
Peak positions follow from Bragg's law for the DFT cell and can differ from measured ones.

Main lines, low angle first (10° ≤ 2θ ≤ 80°):
- 34.1°, d = 2.633 Å, I = 100, (2 0 -1)
- 34.2°, d = 2.622 Å, I = 99, (1 2 1)
- 34.3°, d = 2.613 Å, I = 98, (1 2 -2)
- 48.7°, d = 1.868 Å, I = 18, (2 0 2)
- 49.1°, d = 1.855 Å, I = 18, (2 0 -4)
- 49.5°, d = 1.840 Å, I = 17, (0 4 0)
- 61.0°, d = 1.520 Å, I = 38, (3 2 0)
- 61.2°, d = 1.514 Å, I = 37, (3 2 -3)
- 61.5°, d = 1.508 Å, I = 37, (2 4 -1)
- 72.0°, d = 1.311 Å, I = 11, (2 4 2)

Structure:
```
data_LaPm5Au6
_chemical_formula_sum 'La1 Pm5 Au6'
_symmetry_space_group_name_H-M 'P 1 2/m 1'
_symmetry_Int_Tables_number 10
_symmetry_space_group_name_Hall '-P 2y'
_cell_length_a 5.2610
_cell_length_b 7.3610
_cell_length_c 8.3128
_cell_angle_alpha 90.00
_cell_angle_beta 108.03
_cell_angle_gamma 90.00
loop_
_atom_site_label
_atom_site_type_symbol
_atom_site_fract_x
_atom_site_fract_y
_atom_site_fract_z
_atom_site_occupancy
La1 La 0.0000 0.0000 0.0000 1
Pm1 Pm 0.0000 0.5000 0.0000 1
Pm2 Pm 0.3314 0.0000 0.6652 1
Pm3 Pm 0.3329 0.5000 0.6683 1
Au1 Au 0.1717 0.2528 0.3392 1
Au2 Au 0.5000 0.2572 0.0000 1
```